[1]
Diffraction record for K2SrScF6. The XRD peak list is computed, not measured: it uses the PBE geometry in Alexandria and CuKα.

Structural model:
```
data_K2SrScF6
_cell_length_a 6.315
_cell_length_b 8.896
_cell_length_c 6.621
_cell_angle_alpha 90.00
_cell_angle_beta 90.00
_cell_angle_gamma 90.00
_space_group_name_H-M_alt 'P 1'
_space_group_IT_number 1
loop_
_space_group_symop_operation_xyz
'x,y,z'
loop_
_atom_site_label
_atom_site_type_symbol
_atom_site_fract_x
_atom_site_fract_y
_atom_site_fract_z
K1 K 0.250 0.025 0.194
K2 K 0.250 0.475 0.194
K3 K 0.750 0.525 0.806
K4 K 0.750 0.975 0.806
Sr1 Sr 0.250 0.250 0.705
Sr2 Sr 0.750 0.750 0.295
Sc1 Sc 0.250 0.750 0.767
Sc2 Sc 0.750 0.250 0.233
F1 F 0.016 0.750 0.010
F2 F 0.031 0.250 0.399
F3 F 0.250 0.518 0.788
F4 F 0.250 0.982 0.788
F5 F 0.469 0.250 0.399
F6 F 0.484 0.750 0.010
F7 F 0.516 0.250 0.990
F8 F 0.531 0.750 0.601
F9 F 0.750 0.018 0.212
F10 F 0.750 0.482 0.212
F11 F 0.969 0.750 0.601
F12 F 0.984 0.250 0.990
```

Top 10 peaks for 2θ = 10–80°, in order of rising 2θ:
- 2θ 17.2, rel. 18.2
- 2θ 19.4, rel. 36.1
- 2θ 20.0, rel. 21.1
- 2θ 26.9, rel. 29.6
- 2θ 28.0, rel. 100.0
- 2θ 28.3, rel. 30.7
- 2θ 39.4, rel. 52.4
- 2θ 40.6, rel. 33.6
- 2θ 49.9, rel. 23.5
- 2θ 57.9, rel. 26.2

[2]
Diffraction record for LaPmNd2Tl2. The XRD peak list is computed, not measured: it uses the PBE geometry in Alexandria and CuKα.

Structural model:
```
data_LaPmNd2Tl2
_cell_length_a 5.390
_cell_length_b 10.218
_cell_length_c 6.944
_cell_angle_alpha 90.00
_cell_angle_beta 90.00
_cell_angle_gamma 90.00
_space_group_name_H-M_alt 'P 1'
_space_group_IT_number 1
loop_
_space_group_symop_operation_xyz
'x,y,z'
loop_
_atom_site_label
_atom_site_type_symbol
_atom_site_fract_x
_atom_site_fract_y
_atom_site_fract_z
La1 La 0.000 0.040 0.000
La2 La 0.000 0.960 0.500
Pm1 Pm 0.500 0.180 0.726
Pm2 Pm 0.500 0.820 0.226
Nd1 Nd 0.000 0.324 0.339
Nd2 Nd 0.000 0.676 0.839
Nd3 Nd 0.500 0.459 0.061
Nd4 Nd 0.500 0.541 0.561
Tl1 Tl 0.000 0.356 0.812
Tl2 Tl 0.000 0.644 0.312
Tl3 Tl 0.500 0.144 0.254
Tl4 Tl 0.500 0.856 0.754
```

Top 10 peaks for 2θ = 10–80°, in order of rising 2θ:
- 2θ 30.6, rel. 21.3
- 2θ 31.1, rel. 100.0
- 2θ 31.9, rel. 67.3
- 2θ 33.2, rel. 42.5
- 2θ 33.7, rel. 11.3
- 2θ 40.7, rel. 14.3
- 2θ 46.2, rel. 15.9
- 2θ 56.3, rel. 15.8
- 2θ 58.0, rel. 13.4
- 2θ 58.6, rel. 12.0

[3]
Diffraction record for Na3CuO2. The XRD peak list is computed, not measured: it uses the PBE geometry in Alexandria and CuKα.

Structural model:
```
data_Na3CuO2
_cell_length_a 6.009
_cell_length_b 6.009
_cell_length_c 6.009
_cell_angle_alpha 68.44
_cell_angle_beta 68.44
_cell_angle_gamma 68.44
_space_group_name_H-M_alt 'P 1'
_space_group_IT_number 1
loop_
_space_group_symop_operation_xyz
'x,y,z'
loop_
_atom_site_label
_atom_site_type_symbol
_atom_site_fract_x
_atom_site_fract_y
_atom_site_fract_z
Na1 Na 0.009 0.750 0.491
Na2 Na 0.250 0.509 0.991
Na3 Na 0.491 0.009 0.750
Na4 Na 0.509 0.991 0.250
Na5 Na 0.750 0.491 0.009
Na6 Na 0.991 0.250 0.509
Cu1 Cu 0.000 0.000 0.000
Cu2 Cu 0.500 0.500 0.500
O1 O 0.132 0.132 0.132
O2 O 0.368 0.368 0.368
O3 O 0.632 0.632 0.632
O4 O 0.868 0.868 0.868
```

Top 10 peaks for 2θ = 10–80°, in order of rising 2θ:
- 2θ 19.9, rel. 64.0
- 2θ 26.4, rel. 100.0
- 2θ 30.2, rel. 38.3
- 2θ 33.0, rel. 50.3
- 2θ 33.3, rel. 74.5
- 2θ 41.3, rel. 20.3
- 2θ 43.0, rel. 67.7
- 2θ 46.5, rel. 60.2
- 2θ 48.1, rel. 67.1
- 2θ 55.9, rel. 26.2

[4]
Diffraction record for LiDyPuHg. The XRD peak list is computed, not measured: it uses the PBE geometry in Alexandria and CuKα.

Structural model:
```
data_LiDyPuHg
_cell_length_a 5.252
_cell_length_b 5.252
_cell_length_c 5.252
_cell_angle_alpha 60.00
_cell_angle_beta 60.00
_cell_angle_gamma 60.00
_space_group_name_H-M_alt 'P 1'
_space_group_IT_number 1
loop_
_space_group_symop_operation_xyz
'x,y,z'
loop_
_atom_site_label
_atom_site_type_symbol
_atom_site_fract_x
_atom_site_fract_y
_atom_site_fract_z
Li1 Li 0.000 0.000 0.000
Dy1 Dy 0.250 0.250 0.250
Pu1 Pu 0.750 0.750 0.750
Hg1 Hg 0.500 0.500 0.500
```

Top 10 peaks for 2θ = 10–80°, in order of rising 2θ:
- 2θ 20.7, rel. 27.3
- 2θ 24.0, rel. 12.1
- 2θ 34.1, rel. 100.0
- 2θ 40.3, rel. 15.7
- 2θ 49.1, rel. 18.4
- 2θ 53.8, rel. 6.9
- 2θ 61.1, rel. 38.4
- 2θ 65.3, rel. 5.2
- 2θ 71.9, rel. 12.0
- 2θ 75.8, rel. 5.2

[5]
Diffraction record for Ce2Pr2Se7. The XRD peak list is computed, not measured: it uses the PBE geometry in Alexandria and CuKα.

Structural model:
```
data_Ce2Pr2Se7
_cell_length_a 7.006
_cell_length_b 7.006
_cell_length_c 7.028
_cell_angle_alpha 90.00
_cell_angle_beta 90.00
_cell_angle_gamma 95.32
_space_group_name_H-M_alt 'P 1'
_space_group_IT_number 1
loop_
_space_group_symop_operation_xyz
'x,y,z'
loop_
_atom_site_label
_atom_site_type_symbol
_atom_site_fract_x
_atom_site_fract_y
_atom_site_fract_z
Ce1 Ce 0.232 0.768 0.000
Ce2 Ce 0.768 0.232 0.000
Pr1 Pr 0.231 0.231 0.500
Pr2 Pr 0.769 0.769 0.500
Se1 Se 0.000 0.000 0.239
Se2 Se 0.000 0.000 0.761
Se3 Se 0.000 0.500 0.257
Se4 Se 0.000 0.500 0.743
Se5 Se 0.500 0.000 0.257
Se6 Se 0.500 0.000 0.743
Se7 Se 0.500 0.500 0.000
```

Top 10 peaks for 2θ = 10–80°, in order of rising 2θ:
- 2θ 12.7, rel. 17.2
- 2θ 21.3, rel. 44.3
- 2θ 22.7, rel. 82.4
- 2θ 34.6, rel. 38.1
- 2θ 36.3, rel. 100.0
- 2θ 38.1, rel. 29.0
- 2θ 41.8, rel. 30.1
- 2θ 52.5, rel. 21.7
- 2θ 63.2, rel. 17.3
- 2θ 67.7, rel. 13.9

[6]
Diffraction record for PaBe2Ni2. The XRD peak list is computed, not measured: it uses the PBE geometry in Alexandria and CuKα.

Structural model:
```
data_PaBe2Ni2
_cell_length_a 5.515
_cell_length_b 5.027
_cell_length_c 3.976
_cell_angle_alpha 74.53
_cell_angle_beta 61.46
_cell_angle_gamma 44.02
_space_group_name_H-M_alt 'P 1'
_space_group_IT_number 1
loop_
_space_group_symop_operation_xyz
'x,y,z'
loop_
_atom_site_label
_atom_site_type_symbol
_atom_site_fract_x
_atom_site_fract_y
_atom_site_fract_z
Pa1 Pa 0.000 0.000 0.000
Be1 Be 0.250 0.250 0.250
Be2 Be 0.750 0.750 0.750
Ni1 Ni 0.358 0.358 0.642
Ni2 Ni 0.642 0.642 0.358
```

Top 10 peaks for 2θ = 10–80°, in order of rising 2θ:
- 2θ 19.9, rel. 37.2
- 2θ 25.7, rel. 48.8
- 2θ 27.6, rel. 61.1
- 2θ 34.2, rel. 26.2
- 2θ 38.6, rel. 100.0
- 2θ 39.0, rel. 24.6
- 2θ 48.4, rel. 30.1
- 2θ 56.3, rel. 33.2
- 2θ 57.1, rel. 18.8
- 2θ 70.4, rel. 16.9